# K2RuCl4F2
Theoretical powder diffraction line list, Cu Ka. Input: a crystal structure in Alexandria, relaxed with GGA-PBE.
Intensities are scaled so that the largest is 100.

Most intense lines, 5 to 70 degrees two-theta, in order of rising 2θ:
| index | d [Å] | I_rel |
| --- | --- | --- |
| 1 1 0 | 5.894 | 70 |
| 0 0 1 | 5.642 | 59 |
| 2 0 0 | 5.264 | 31 |
| 1 1 1 | 3.781 | 60 |
| 2 2 -1 | 2.805 | 100 |
| 2 2 -2 | 2.226 | 37 |

Structure:
Cell lengths 10.998, 7.112, 5.894 Å; angles 90.00, 106.81, 90.00 degrees
Space group C2/m (No. 12)
One atom of each set of equivalent atoms:
K 0.181 0.000 0.288
Ru 0.000 0.500 0.000
Cl 0.085 0.262 0.812
F 0.154 0.500 0.264